(1)
# Ho9TmSc2
Simulated X-ray powder pattern, Cu Kα X-rays. Input: DFT lattice parameters and positions (GGA-PBE).
Kinematic intensities with the Lorentz-polarization factor, no thermal factor.

Main lines, sorted by position (10 to 90 degrees two-theta):
30.71°, d 2.912, intensity 14.0, (1 1 1); 32.15°, d 2.784, intensity 89.6, (2 0 1); 32.65°, d 2.743, intensity 100.0, (2 2 0); 36.18°, d 2.483, intensity 14.2, (2 1 1); 46.48°, d 1.954, intensity 30.3, (4 0 1); 57.95°, d 1.591, intensity 30.8, (4 2 1); 58.26°, d 1.584, intensity 16.5, (6 0 0); 63.95°, d 1.456, intensity 28.8, (2 2 2)

Cell and atoms:
Cell: 10.9712 10.9712 3.4357 Å, 90.00 90.00 120.00°
Space group P6/mmm (No. 191)
Inequivalent atoms, fractional coordinates:
Ho (0.0000, 0.5000, 0.0000) [3 per cell]
Ho (0.1783, 0.3566, 0.5000) [6 per cell]
Tm (0.0000, 0.0000, 0.0000) [1 per cell]
Sc (0.3333, 0.6667, 0.0000) [2 per cell]

---

(2)
# Dy2YEr2Th
Simulated X-ray powder pattern, Cu Kα X-rays. Input: DFT lattice parameters and positions (GGA-PBE).
Kinematic intensities with the Lorentz-polarization factor, no thermal factor.

Main lines, sorted by position (10 to 90 degrees two-theta):
28.76°, d 3.104, intensity 43.7, (0 2 1); 30.04°, d 2.974, intensity 61.3, (2 0 -2); 30.36°, d 2.944, intensity 77.5, (1 2 0); 30.60°, d 2.922, intensity 72.5, (0 0 3); 32.29°, d 2.772, intensity 100.0, (2 0 1); 33.02°, d 2.713, intensity 72.1, (2 1 -2); 33.25°, d 2.694, intensity 77.1, (1 2 1); 33.51°, d 2.674, intensity 41.9, (0 1 3)

Cell and atoms:
Cell: 6.6058 6.6376 9.0808 Å, 90.00 105.16 90.00°
Space group P2_1/m (No. 11)
Inequivalent atoms, fractional coordinates:
Dy (0.0806, 0.2500, 0.3826) [2 per cell]
Dy (0.3139, 0.7500, 0.9835) [2 per cell]
Y (0.0992, 0.7500, 0.2979) [2 per cell]
Er (0.4050, 0.5027, 0.6747) [4 per cell]
Th (0.2051, 0.2500, 0.0637) [2 per cell]

---

(3)
# La4TcPd
Simulated X-ray powder pattern, Cu Kα X-rays. Input: DFT lattice parameters and positions (GGA-PBE).
Kinematic intensities with the Lorentz-polarization factor, no thermal factor.

Main lines, sorted by position (10 to 90 degrees two-theta):
28.78°, d 3.102, intensity 39.7, (1 1 -2); 29.23°, d 3.055, intensity 100.0, (3 1 -1); 31.02°, d 2.883, intensity 84.7, (0 4 1); 32.77°, d 2.733, intensity 54.7, (2 4 -1); 34.44°, d 2.604, intensity 54.9, (1 3 -2); 34.99°, d 2.564, intensity 38.1, (1 5 0); 37.03°, d 2.427, intensity 73.0, (2 2 1); 39.62°, d 2.275, intensity 42.6, (3 3 0)

Cell and atoms:
Cell: 9.4372 13.5556 6.5535 Å, 90.00 123.19 90.00°
Space group C2/c (No. 15)
Inequivalent atoms, fractional coordinates:
La (0.1208, 0.1725, 0.0898) [8 per cell]
La (0.2028, 0.4306, 0.2870) [8 per cell]
Tc (0.0000, 0.0022, 0.7500) [4 per cell]
Pd (0.0000, 0.3679, 0.7500) [4 per cell]